1.
Starting from a structure optimized by DFT (PBE+U), the XRD peak list of K4Pa3FeO12 was simulated for copper Kα.
No peak broadening, texture or thermal motion is included.

Cell: 7.426 7.426 7.426 Å, 109.47 109.47 109.47°
Fractional coordinates of all 20 atoms:
1 K 0.000 0.000 0.500
2 K 0.000 0.500 0.000
3 K 0.500 0.000 0.000
4 K 0.500 0.500 0.500
5 Pa 0.000 0.500 0.500
6 Pa 0.500 0.000 0.500
7 Pa 0.500 0.500 0.000
8 Fe 0.000 0.000 0.000
9 O 0.000 0.244 0.244
10 O 0.000 0.756 0.756
11 O 0.244 0.000 0.244
12 O 0.244 0.244 0.000
13 O 0.250 0.500 0.750
14 O 0.250 0.750 0.500
15 O 0.500 0.250 0.750
16 O 0.500 0.750 0.250
17 O 0.750 0.250 0.500
18 O 0.750 0.500 0.250
19 O 0.756 0.000 0.756
20 O 0.756 0.756 0.000

Principal peaks in the range 2θ from 5° to 70°, sorted by position:
14.61 deg, intensity 19; 20.72 deg, intensity 69; 25.44 deg, intensity 11; 29.46 deg, intensity 100; 36.29 deg, intensity 8; 39.31 deg, intensity 8; 42.15 deg, intensity 32; 47.41 deg, intensity 33; 52.26 deg, intensity 41; 61.14 deg, intensity 20; 65.29 deg, intensity 16; 69.30 deg, intensity 18

***

2.
Starting from a structure optimized by DFT (PBE+U), the XRD peak list of Dy2PuCrO8 was simulated for copper Kα.
No peak broadening, texture or thermal motion is included.

Cell: 5.005 5.005 6.666 Å, 90.00 90.00 92.44°
Fractional coordinates of all 12 atoms:
1 Dy 0.000 0.000 0.236
2 Dy 0.000 0.000 0.764
3 Pu 0.500 0.500 0.500
4 Cr 0.500 0.500 0.000
5 O 0.214 0.214 0.000
6 O 0.214 0.214 0.500
7 O 0.322 0.678 0.259
8 O 0.322 0.678 0.741
9 O 0.678 0.322 0.259
10 O 0.678 0.322 0.741
11 O 0.786 0.786 0.000
12 O 0.786 0.786 0.500

Principal peaks in the range 2θ from 5° to 70°, sorted by position:
13.28 deg, intensity 15; 22.22 deg, intensity 35; 24.63 deg, intensity 65; 25.73 deg, intensity 54; 32.28 deg, intensity 100; 35.92 deg, intensity 31; 48.44 deg, intensity 44; 49.67 deg, intensity 37; 52.88 deg, intensity 10; 59.16 deg, intensity 11; 62.28 deg, intensity 23; 67.55 deg, intensity 10